Starting from a structure optimized by DFT (PBE), the X-ray powder pattern of Tm11Ir4Pb9 was simulated for Cu Ka.
Neutral-atom scattering factors, no anomalous dispersion.

Crystal structure
Lattice parameters (Å, degrees): 13.2987 13.2987 3.6653 90.00 90.00 111.85
Sites, in units of the cell vectors:
Tm1 0.0000 0.0000 0.0000
Tm2 0.0869 0.4201 0.0000
Tm3 0.1598 0.8402 0.0000
Tm4 0.3140 0.3140 0.0000
Tm5 0.3733 0.6268 0.0000
Tm6 0.4201 0.0869 0.0000
Tm7 0.5799 0.9131 0.0000
Tm8 0.6268 0.3733 0.0000
Tm9 0.6860 0.6860 0.0000
Tm10 0.8402 0.1598 0.0000
Tm11 0.9131 0.5799 0.0000
Ir1 0.2493 0.4518 0.5000
Ir2 0.4518 0.2493 0.5000
Ir3 0.5482 0.7507 0.5000
Ir4 0.7507 0.5482 0.5000
Pb1 0.0676 0.2171 0.5000
Pb2 0.1452 0.6307 0.5000
Pb3 0.2171 0.0676 0.5000
Pb4 0.3693 0.8548 0.5000
Pb5 0.5000 0.5000 0.5000
Pb6 0.6307 0.1452 0.5000
Pb7 0.7829 0.9324 0.5000
Pb8 0.8548 0.3693 0.5000
Pb9 0.9324 0.7829 0.5000

Largest 6 diffraction maxima, in order of falling intensity, 10 to 90 degrees two-theta:
d = 2.614 Å, 34.31 deg, rel. 100
d = 2.594 Å, 34.58 deg, rel. 52
d = 1.501 Å, 61.82 deg, rel. 18
d = 1.833 Å, 49.75 deg, rel. 16
d = 2.451 Å, 36.67 deg, rel. 14
d = 2.423 Å, 37.11 deg, rel. 10

***

Starting from a structure optimized by DFT (PBE), the X-ray powder pattern of Y6Ir2Pb was simulated for Cu Ka.
Neutral-atom scattering factors, no anomalous dispersion.

Crystal structure
Lattice parameters (Å, degrees): 8.5792 8.5792 8.5792 112.59 110.55 105.36
Sites, in units of the cell vectors:
Y1 0.0286 0.2382 0.7904
Y2 0.1828 0.2843 0.4671
Y3 0.1828 0.7157 0.8985
Y4 0.3298 0.0196 0.6897
Y5 0.3298 0.6401 0.3103
Y6 0.4478 0.2382 0.2096
Y7 0.5522 0.7618 0.7904
Y8 0.6702 0.3599 0.6897
Y9 0.6702 0.9804 0.3103
Y10 0.8172 0.2843 0.1015
Y11 0.8172 0.7157 0.5329
Y12 0.9714 0.7618 0.2096
Ir1 0.1278 0.6278 0.5000
Ir2 0.3375 0.0000 0.3375
Ir3 0.6625 0.0000 0.6625
Ir4 0.8722 0.3722 0.5000
Pb1 0.0000 0.0000 0.0000
Pb2 0.5000 0.5000 0.0000

Largest 6 diffraction maxima, in order of falling intensity, 10 to 90 degrees two-theta:
d = 2.652 Å, 33.80 deg, rel. 100
d = 2.603 Å, 34.46 deg, rel. 91
d = 2.852 Å, 31.37 deg, rel. 70
d = 4.761 Å, 18.64 deg, rel. 64
d = 2.694 Å, 33.25 deg, rel. 59
d = 2.380 Å, 37.80 deg, rel. 42

***

Starting from a structure optimized by DFT (PBE), the X-ray powder pattern of Y12Ir6Pb was simulated for Cu Ka.
Neutral-atom scattering factors, no anomalous dispersion.

Crystal structure
Lattice parameters (Å, degrees): 8.6437 8.6437 8.6437 109.47 109.47 109.47
Sites, in units of the cell vectors:
Y1 0.1031 0.8043 0.2989
Y2 0.1957 0.2989 0.4946
Y3 0.1957 0.7011 0.8969
Y4 0.2989 0.1031 0.8043
Y5 0.2989 0.4946 0.1957
Y6 0.4946 0.1957 0.2989
Y7 0.5054 0.8043 0.7011
Y8 0.7011 0.5054 0.8043
Y9 0.7011 0.8969 0.1957
Y10 0.8043 0.2989 0.1031
Y11 0.8043 0.7011 0.5054
Y12 0.8969 0.1957 0.7011
Ir1 0.1242 0.6242 0.5000
Ir2 0.3758 0.5000 0.8758
Ir3 0.5000 0.1242 0.6242
Ir4 0.5000 0.8758 0.3758
Ir5 0.6242 0.5000 0.1242
Ir6 0.8758 0.3758 0.5000
Pb1 0.0000 0.0000 0.0000

Largest 6 diffraction maxima, in order of falling intensity, 10 to 90 degrees two-theta:
d = 2.668 Å, 33.60 deg, rel. 100
d = 1.957 Å, 46.39 deg, rel. 47
d = 4.990 Å, 17.77 deg, rel. 38
d = 2.881 Å, 31.04 deg, rel. 20
d = 2.353 Å, 38.26 deg, rel. 17
d = 1.160 Å, 83.28 deg, rel. 17

***

Starting from a structure optimized by DFT (PBE), the X-ray powder pattern of Y11Ir4Pb9 was simulated for Cu Ka.
Neutral-atom scattering factors, no anomalous dispersion.

Crystal structure
Lattice parameters (Å, degrees): 13.3544 13.3544 3.7597 90.00 90.00 112.21
Sites, in units of the cell vectors:
Y1 0.0000 0.0000 0.0000
Y2 0.0839 0.4179 0.0000
Y3 0.1615 0.8385 0.0000
Y4 0.3121 0.3121 0.0000
Y5 0.3732 0.6268 0.0000
Y6 0.4179 0.0839 0.0000
Y7 0.5821 0.9161 0.0000
Y8 0.6268 0.3732 0.0000
Y9 0.6879 0.6879 0.0000
Y10 0.8385 0.1615 0.0000
Y11 0.9161 0.5821 0.0000
Ir1 0.2472 0.4500 0.5000
Ir2 0.4500 0.2472 0.5000
Ir3 0.5500 0.7528 0.5000
Ir4 0.7528 0.5500 0.5000
Pb1 0.0678 0.2167 0.5000
Pb2 0.1478 0.6292 0.5000
Pb3 0.2167 0.0678 0.5000
Pb4 0.3708 0.8522 0.5000
Pb5 0.5000 0.5000 0.5000
Pb6 0.6292 0.1478 0.5000
Pb7 0.7833 0.9322 0.5000
Pb8 0.8522 0.3708 0.5000
Pb9 0.9322 0.7833 0.5000

Largest 6 diffraction maxima, in order of falling intensity, 10 to 90 degrees two-theta:
d = 2.635 Å, 34.02 deg, rel. 100
d = 2.646 Å, 33.88 deg, rel. 99
d = 2.623 Å, 34.19 deg, rel. 98
d = 3.760 Å, 23.66 deg, rel. 40
d = 1.528 Å, 60.60 deg, rel. 38
d = 1.880 Å, 48.42 deg, rel. 32

***

Starting from a structure optimized by DFT (PBE), the X-ray powder pattern of Y4Ir2Pb was simulated for Cu Ka.
Neutral-atom scattering factors, no anomalous dispersion.

Crystal structure
Lattice parameters (Å, degrees): 9.2795 8.0472 8.0368 70.47 54.82 54.71
Sites, in units of the cell vectors:
Y1 0.1452 0.2849 0.2863
Y2 0.2164 0.7137 0.7151
Y3 0.2849 0.1452 0.7836
Y4 0.2863 0.7836 0.1452
Y5 0.7137 0.2164 0.8548
Y6 0.7151 0.8548 0.2164
Y7 0.7836 0.2863 0.2849
Y8 0.8548 0.7151 0.7137
Ir1 0.0000 0.0000 0.0000
Ir2 0.0000 0.0000 0.5000
Ir3 0.0000 0.5000 0.0000
Ir4 0.5000 0.0000 0.0000
Pb1 0.3750 0.3750 0.3750
Pb2 0.6250 0.6250 0.6250

Largest 6 diffraction maxima, in order of falling intensity, 10 to 90 degrees two-theta:
d = 2.481 Å, 36.21 deg, rel. 100
d = 2.940 Å, 30.41 deg, rel. 77
d = 3.790 Å, 23.47 deg, rel. 64
d = 1.897 Å, 47.96 deg, rel. 48
d = 2.321 Å, 38.81 deg, rel. 44
d = 3.281 Å, 27.18 deg, rel. 34

***

Starting from a structure optimized by DFT (PBE), the X-ray powder pattern of ZnIr2Pb was simulated for Cu Ka.
Neutral-atom scattering factors, no anomalous dispersion.

Crystal structure
Lattice parameters (Å, degrees): 5.0911 5.0911 5.0911 133.92 133.92 67.21
Sites, in units of the cell vectors:
Zn1 0.0000 0.0000 0.0000
Ir1 0.2500 0.7500 0.5000
Ir2 0.5000 0.5000 0.0000
Pb1 0.7500 0.2500 0.5000

Largest 6 diffraction maxima, in order of falling intensity, 10 to 90 degrees two-theta:
d = 2.347 Å, 38.35 deg, rel. 100
d = 1.993 Å, 45.52 deg, rel. 31
d = 1.208 Å, 79.32 deg, rel. 25
d = 1.452 Å, 64.14 deg, rel. 22
d = 2.120 Å, 42.65 deg, rel. 19
d = 1.263 Å, 75.21 deg, rel. 14

***

Starting from a structure optimized by DFT (PBE), the X-ray powder pattern of IrPd2 was simulated for Cu Ka.
Neutral-atom scattering factors, no anomalous dispersion.

Crystal structure
Lattice parameters (Å, degrees): 6.1616 6.1616 6.1616 153.92 153.92 37.21
Sites, in units of the cell vectors:
Ir1 0.0000 0.0000 0.0000
Pd1 0.3372 0.3372 0.0000
Pd2 0.6628 0.6628 0.0000

Largest 6 diffraction maxima, in order of falling intensity, 10 to 90 degrees two-theta:
d = 2.263 Å, 39.84 deg, rel. 100
d = 1.966 Å, 46.17 deg, rel. 33
d = 1.184 Å, 81.21 deg, rel. 25
d = 1.383 Å, 67.74 deg, rel. 21
d = 1.947 Å, 46.66 deg, rel. 16
d = 5.840 Å, 15.17 deg, rel. 12

***

Starting from a structure optimized by DFT (PBE), the X-ray powder pattern of Pm4IrPd3 was simulated for Cu Ka.
Neutral-atom scattering factors, no anomalous dispersion.

Crystal structure
Lattice parameters (Å, degrees): 3.8593 4.5849 10.7817 90.00 90.00 90.00
Sites, in units of the cell vectors:
Pm1 0.0000 0.0000 0.0000
Pm2 0.0000 0.5000 0.2663
Pm3 0.5000 0.0000 0.4830
Pm4 0.5000 0.5000 0.7652
Ir1 0.5000 0.0000 0.2162
Pd1 0.0000 0.0000 0.7140
Pd2 0.0000 0.5000 0.5468
Pd3 0.5000 0.5000 0.0413

Largest 6 diffraction maxima, in order of falling intensity, 10 to 90 degrees two-theta:
d = 2.848 Å, 31.41 deg, rel. 100
d = 2.281 Å, 39.50 deg, rel. 71
d = 2.292 Å, 39.30 deg, rel. 33
d = 2.695 Å, 33.24 deg, rel. 30
d = 2.324 Å, 38.75 deg, rel. 20
d = 1.930 Å, 47.10 deg, rel. 19

***

Starting from a structure optimized by DFT (PBE), the X-ray powder pattern of Pm7Ir4Pd was simulated for Cu Ka.
Neutral-atom scattering factors, no anomalous dispersion.

Crystal structure
Lattice parameters (Å, degrees): 7.0981 7.0981 12.1860 104.19 104.19 32.85
Sites, in units of the cell vectors:
Pm1 0.0000 0.0000 0.0000
Pm2 0.2181 0.2181 0.8616
Pm3 0.3033 0.3033 0.4347
Pm4 0.5098 0.5098 0.2903
Pm5 0.6051 0.6051 0.6012
Pm6 0.7648 0.7648 0.1441
Pm7 0.9161 0.9161 0.6926
Ir1 0.2606 0.2606 0.6469
Ir2 0.3769 0.3769 0.0699
Ir3 0.5587 0.5587 0.8372
Ir4 0.9592 0.9592 0.4538
Pd1 0.1422 0.1422 0.2256

Largest 6 diffraction maxima, in order of falling intensity, 10 to 90 degrees two-theta:
d = 2.994 Å, 29.85 deg, rel. 100
d = 2.851 Å, 31.38 deg, rel. 75
d = 2.762 Å, 32.41 deg, rel. 70
d = 2.007 Å, 45.17 deg, rel. 50
d = 2.962 Å, 30.17 deg, rel. 40
d = 3.920 Å, 22.68 deg, rel. 38

***

Starting from a structure optimized by DFT (PBE), the X-ray powder pattern of Pm5IrPd2 was simulated for Cu Ka.
Neutral-atom scattering factors, no anomalous dispersion.

Crystal structure
Lattice parameters (Å, degrees): 9.3213 9.3213 9.3213 133.70 133.70 67.55
Sites, in units of the cell vectors:
Pm1 0.0000 0.0000 0.0000
Pm2 0.0222 0.5222 0.8464
Pm3 0.1758 0.0222 0.5000
Pm4 0.3242 0.8242 0.8464
Pm5 0.4778 0.3242 0.5000
Pm6 0.5000 0.5000 0.0000
Pm7 0.5222 0.6758 0.5000
Pm8 0.6758 0.1758 0.1536
Pm9 0.8242 0.9778 0.5000
Pm10 0.9778 0.4778 0.1536
Ir1 0.2500 0.2500 0.0000
Ir2 0.7500 0.7500 0.0000
Pd1 0.1309 0.3691 0.5000
Pd2 0.3691 0.8691 0.2382
Pd3 0.6309 0.1309 0.7618
Pd4 0.8691 0.6309 0.5000

Largest 6 diffraction maxima, in order of falling intensity, 10 to 90 degrees two-theta:
d = 2.767 Å, 32.35 deg, rel. 100
d = 2.318 Å, 38.86 deg, rel. 49
d = 2.662 Å, 33.67 deg, rel. 48
d = 3.103 Å, 28.77 deg, rel. 24
d = 2.591 Å, 34.62 deg, rel. 18
d = 1.681 Å, 54.60 deg, rel. 17

***

Starting from a structure optimized by DFT (PBE), the X-ray powder pattern of Pm6IrPd2 was simulated for Cu Ka.
Neutral-atom scattering factors, no anomalous dispersion.

Crystal structure
Lattice parameters (Å, degrees): 6.7328 7.5024 12.1561 90.00 120.82 90.00
Sites, in units of the cell vectors:
Pm1 0.0950 0.1835 0.4314
Pm2 0.0950 0.3165 0.9314
Pm3 0.2553 0.6754 0.4272
Pm4 0.2553 0.8246 0.9272
Pm5 0.4041 0.0429 0.2476
Pm6 0.4041 0.4571 0.7476
Pm7 0.5959 0.5429 0.2524
Pm8 0.5959 0.9571 0.7524
Pm9 0.7447 0.1754 0.0728
Pm10 0.7447 0.3246 0.5728
Pm11 0.9050 0.6835 0.0686
Pm12 0.9050 0.8165 0.5686
Ir1 0.5000 0.0000 0.5000
Ir2 0.5000 0.5000 0.0000
Pd1 0.1744 0.1156 0.7351
Pd2 0.1744 0.3844 0.2351
Pd3 0.8256 0.6156 0.7649
Pd4 0.8256 0.8844 0.2649

Largest 6 diffraction maxima, in order of falling intensity, 10 to 90 degrees two-theta:
d = 3.149 Å, 28.34 deg, rel. 100
d = 2.980 Å, 29.99 deg, rel. 98
d = 3.031 Å, 29.47 deg, rel. 89
d = 2.807 Å, 31.88 deg, rel. 81
d = 2.345 Å, 38.39 deg, rel. 61
d = 2.908 Å, 30.75 deg, rel. 43

***

Starting from a structure optimized by DFT (PBE), the X-ray powder pattern of Pr4IrPd2 was simulated for Cu Ka.
Neutral-atom scattering factors, no anomalous dispersion.

Crystal structure
Lattice parameters (Å, degrees): 8.0275 8.0275 8.0275 110.33 110.23 107.86
Sites, in units of the cell vectors:
Pr1 0.1897 0.2416 0.5519
Pr2 0.1897 0.6378 0.9481
Pr3 0.2420 0.1900 0.0520
Pr4 0.3620 0.8100 0.5520
Pr5 0.6380 0.1900 0.4480
Pr6 0.7580 0.8100 0.9480
Pr7 0.8103 0.3622 0.0519
Pr8 0.8103 0.7584 0.4481
Ir1 0.1245 0.8745 0.2500
Ir2 0.8755 0.1255 0.7500
Pd1 0.0000 0.5000 0.5000
Pd2 0.5000 0.0000 0.0000
Pd3 0.5000 0.5000 0.0000
Pd4 0.5000 0.5000 0.5000

Largest 6 diffraction maxima, in order of falling intensity, 10 to 90 degrees two-theta:
d = 2.980 Å, 29.98 deg, rel. 100
d = 2.458 Å, 36.56 deg, rel. 58
d = 3.244 Å, 27.49 deg, rel. 50
d = 2.294 Å, 39.27 deg, rel. 49
d = 2.910 Å, 30.72 deg, rel. 39
d = 2.473 Å, 36.33 deg, rel. 34